(1)
Structure and theoretical powder X-ray diffraction pattern of TiBO3 (the GGA-PBE geometry in the Materials Project; Cu Kα).
Neutral-atom scattering factors, no anomalous dispersion.

Structural model:
a = 4.7028 Å, b = 4.7028 Å, c = 14.9896 Å
α = 90.00°, β = 90.00°, γ = 120.00°
Space group R-3c (No. 167, hexagonal axes)
Symmetry-distinct sites (fractional):
Ti  0.0000  0.0000  0.0000 [6 per cell]
B  0.0000  0.0000  0.2500 [6 per cell]
O  0.0000  0.2953  0.2500 [18 per cell]

Most intense lines, 2θ = 5–70°, by angle:
hkl 0 1 2, 3.579 Å, rel. 49
hkl 1 0 4, 2.758 Å, rel. 100
hkl 1 1 3, 2.128 Å, rel. 35
hkl 2 0 2, 1.965 Å, rel. 22
hkl 1 1 6, 1.712 Å, rel. 40
hkl 3 0 0, 1.358 Å, rel. 23

(2)
Structure and theoretical powder X-ray diffraction pattern of TlBO2 (the GGA-PBE geometry in the Materials Project; Cu Kα).
Neutral-atom scattering factors, no anomalous dispersion.

Structural model:
a = 7.626 Å, b = 7.626 Å, c = 9.472 Å
α = 90.00°, β = 90.00°, γ = 90.00°
Space group P4_1 (No. 76)
Symmetry-distinct sites (fractional):
Tl  0.021  0.731  0.000 [4 per cell]
Tl  0.267  0.275  0.844 [4 per cell]
B  0.143  0.461  0.263 [4 per cell]
B  0.408  0.549  0.116 [4 per cell]
O  0.033  0.553  0.781 [4 per cell]
O  0.218  0.504  0.132 [4 per cell]
O  0.256  0.427  0.377 [4 per cell]
O  0.466  0.486  0.977 [4 per cell]

Most intense lines, 2θ = 5–70°, by angle:
hkl 1 1 1, 4.686 Å, rel. 44
hkl 1 1 2, 3.558 Å, rel. 52
hkl 2 1 1, 3.209 Å, rel. 100
hkl 2 0 2, 2.970 Å, rel. 28
hkl 1 0 3, 2.917 Å, rel. 29
hkl 2 3 1, 2.064 Å, rel. 28